This entry pairs a crystal structure of LiTi2NiP2O10 with its theoretical PXRD pattern. Radiation: Cu Kα. Structure: a DFT-relaxed cell (GGA+U, Alexandria).
No peak broadening, texture or thermal motion is included.

Structural model:
Lattice parameters (Å, degrees): 6.5269 7.4232 7.3989 90.00 90.11 90.00
Positions (direct):
Li 0.0000 0.0000 0.0000
Li 0.0000 0.5000 0.5000
Ti 0.2474 0.2182 0.3406
Ti 0.2474 0.2818 0.8406
Ti 0.7526 0.7182 0.1594
Ti 0.7526 0.7818 0.6594
Ni 0.5000 0.0000 0.0000
Ni 0.5000 0.5000 0.5000
P 0.2499 0.6319 0.1275
P 0.2499 0.8681 0.6275
P 0.7501 0.1319 0.3725
P 0.7501 0.3681 0.8725
O 0.0565 0.7480 0.6326
O 0.0565 0.7520 0.1326
O 0.2504 0.5154 0.9565
O 0.2504 0.9846 0.4565
O 0.2607 0.5099 0.2997
O 0.2607 0.9901 0.7997
O 0.2616 0.1537 0.1042
O 0.2616 0.3463 0.6042
O 0.4390 0.7412 0.6283
O 0.4390 0.7588 0.1283
O 0.5610 0.2412 0.8717
O 0.5610 0.2588 0.3717
O 0.7384 0.6537 0.3958
O 0.7384 0.8463 0.8958
O 0.7393 0.0099 0.2003
O 0.7393 0.4901 0.7003
O 0.7496 0.0154 0.5435
O 0.7496 0.4846 0.0435
O 0.9435 0.2480 0.8674
O 0.9435 0.2520 0.3674

Main lines, by intensity (10 to 90 degrees two-theta):
2θ (°)  d_spacing  intensity  (hkl)
26.9  3.313  100  0 1 2
32.3  2.770  44  2 1 -1
21.7  4.088  41  1 1 -1
13.6  6.527  26  1 0 0
27.3  3.263  25  2 0 0
38.7  2.326  23  2 2 1
56.4  1.633  23  4 0 0
27.7  3.223  19  1 0 -2
60.1  1.540  18  2 3 -3
34.2  2.620  17  0 2 2